Diffraction record for YMgS3. The powder diffraction line list is simulated, not measured: it uses a DFT-relaxed cell (PBE, the Materials Project) and Cu Kα (weighted mean of Kα1 and Kα2).
Neutral-atom scattering factors, no anomalous dispersion.

Structural model:
a = 6.9244 Å, b = 6.9244 Å, c = 6.7884 Å
α = 106.29°, β = 106.29°, γ = 111.76°
Sites, in units of the cell vectors:
Y 0.2186 0.2186 0.2517
Y 0.7814 0.7814 0.7483
Mg 0.3397 0.6603 0.0000
Mg 0.6603 0.3397 0.0000
S 0.0734 0.7715 0.1468
S 0.2285 0.9266 0.8532
S 0.4175 0.4175 0.7089
S 0.5825 0.5825 0.2911
S 0.7715 0.0734 0.1468
S 0.9266 0.2285 0.8532

Peak list (10 most intense, 15° ≤ 2θ ≤ 90°, in order of rising 2θ)
- 15.07 deg, intensity 41
- 15.46 deg, intensity 91
- 16.19 deg, intensity 100
- 27.38 deg, intensity 52
- 30.82 deg, intensity 31
- 34.12 deg, intensity 28
- 34.28 deg, intensity 45
- 35.87 deg, intensity 56
- 41.81 deg, intensity 36
- 43.53 deg, intensity 35


Diffraction record for Y2MgS4. The powder diffraction line list is simulated, not measured: it uses a DFT-relaxed cell (PBE, the Materials Project) and Cu Kα (weighted mean of Kα1 and Kα2).
Neutral-atom scattering factors, no anomalous dispersion.

Structural model:
a = 7.9096 Å, b = 7.9096 Å, c = 7.9096 Å
α = 60.00°, β = 60.00°, γ = 60.00°
Sites, in units of the cell vectors:
Y 0.0000 0.0000 0.0000
Y 0.0000 0.0000 0.5000
Y 0.0000 0.5000 0.0000
Y 0.5000 0.0000 0.0000
Mg 0.3750 0.3750 0.3750
Mg 0.6250 0.6250 0.6250
S 0.2362 0.7546 0.7546
S 0.2454 0.2454 0.2454
S 0.2454 0.2454 0.7638
S 0.2454 0.7638 0.2454
S 0.7546 0.2362 0.7546
S 0.7546 0.7546 0.2362
S 0.7546 0.7546 0.7546
S 0.7638 0.2454 0.2454

Peak list (10 most intense, 15° ≤ 2θ ≤ 90°, in order of rising 2θ)
- 26.43 deg, intensity 92
- 32.00 deg, intensity 100
- 34.96 deg, intensity 15
- 41.97 deg, intensity 40
- 45.89 deg, intensity 95
- 48.13 deg, intensity 18
- 57.04 deg, intensity 23
- 63.93 deg, intensity 20
- 76.11 deg, intensity 28
- 84.95 deg, intensity 30


Diffraction record for Mg3Sb2. The powder diffraction line list is simulated, not measured: it uses a DFT-relaxed cell (PBE, the Materials Project) and Cu Kα (weighted mean of Kα1 and Kα2).
Neutral-atom scattering factors, no anomalous dispersion.

Structural model:
a = 11.6273 Å, b = 11.6273 Å, c = 11.6273 Å
α = 109.47°, β = 109.47°, γ = 109.47°
Sites, in units of the cell vectors:
Mg 0.0049 0.0179 0.2595
Mg 0.0130 0.4951 0.7546
Mg 0.0179 0.2595 0.0049
Mg 0.2405 0.2584 0.7454
Mg 0.2416 0.4821 0.4870
Mg 0.2454 0.9870 0.5049
Mg 0.2546 0.7595 0.7416
Mg 0.2584 0.7454 0.2405
Mg 0.2595 0.0049 0.0179
Mg 0.4821 0.4870 0.2416
Mg 0.4870 0.2416 0.4821
Mg 0.4951 0.7546 0.0130
Mg 0.5049 0.2454 0.9870
Mg 0.5130 0.7584 0.5179
Mg 0.5179 0.5130 0.7584
Mg 0.7405 0.9951 0.9821
Mg 0.7416 0.2546 0.7595
Mg 0.7454 0.2405 0.2584
Mg 0.7546 0.0130 0.4951
Mg 0.7584 0.5179 0.5130
Mg 0.7595 0.7416 0.2546
Mg 0.9821 0.7405 0.9951
Mg 0.9870 0.5049 0.2454
Mg 0.9951 0.9821 0.7405
Sb 0.0000 0.0000 0.5000
Sb 0.0000 0.5000 0.0000
Sb 0.0125 0.7500 0.7625
Sb 0.2375 0.9875 0.2500
Sb 0.2500 0.2375 0.9875
Sb 0.2500 0.7375 0.4875
Sb 0.2625 0.5125 0.7500
Sb 0.4875 0.2500 0.7375
Sb 0.5000 0.0000 0.0000
Sb 0.5000 0.5000 0.5000
Sb 0.5125 0.7500 0.2625
Sb 0.7375 0.4875 0.2500
Sb 0.7500 0.2625 0.5125
Sb 0.7500 0.7625 0.0125
Sb 0.7625 0.0125 0.7500
Sb 0.9875 0.2500 0.2375

Peak list (10 most intense, 15° ≤ 2θ ≤ 90°, in order of rising 2θ)
- 22.95 deg, intensity 100
- 26.56 deg, intensity 24
- 37.91 deg, intensity 68
- 44.78 deg, intensity 48
- 54.69 deg, intensity 11
- 60.08 deg, intensity 19
- 61.80 deg, intensity 8
- 68.47 deg, intensity 20
- 73.27 deg, intensity 13
- 85.59 deg, intensity 13


Diffraction record for MgSb. The powder diffraction line list is simulated, not measured: it uses a DFT-relaxed cell (PBE, the Materials Project) and Cu Kα (weighted mean of Kα1 and Kα2).
Neutral-atom scattering factors, no anomalous dispersion.

Structural model:
a = 3.9828 Å, b = 5.6317 Å, c = 4.5148 Å
α = 90.00°, β = 90.00°, γ = 90.00°
Sites, in units of the cell vectors:
Mg 0.2500 0.2500 0.1254
Mg 0.7500 0.7500 0.8746
Sb 0.2500 0.7500 0.3764
Sb 0.7500 0.2500 0.6236

Peak list (10 most intense, 15° ≤ 2θ ≤ 90°, in order of rising 2θ)
- 19.66 deg, intensity 42
- 25.28 deg, intensity 43
- 27.43 deg, intensity 72
- 29.92 deg, intensity 68
- 31.78 deg, intensity 59
- 33.98 deg, intensity 100
- 43.18 deg, intensity 50
- 44.21 deg, intensity 46
- 56.61 deg, intensity 22
- 64.56 deg, intensity 44


Diffraction record for Mg3Sb2. The powder diffraction line list is simulated, not measured: it uses a DFT-relaxed cell (PBE, the Materials Project) and Cu Kα (weighted mean of Kα1 and Kα2).
Neutral-atom scattering factors, no anomalous dispersion.

Structural model:
a = 4.6007 Å, b = 4.6007 Å, c = 7.2813 Å
α = 90.00°, β = 90.00°, γ = 120.00°
Sites, in units of the cell vectors:
Mg 0.0000 0.0000 0.0000
Mg 0.3333 0.6667 0.6317
Mg 0.6667 0.3333 0.3683
Sb 0.3333 0.6667 0.2253
Sb 0.6667 0.3333 0.7747

Peak list (10 most intense, 15° ≤ 2θ ≤ 90°, in order of rising 2θ)
- 22.31 deg, intensity 33
- 24.45 deg, intensity 26
- 25.48 deg, intensity 100
- 33.34 deg, intensity 52
- 39.16 deg, intensity 53
- 43.67 deg, intensity 38
- 46.71 deg, intensity 27
- 47.31 deg, intensity 19
- 63.03 deg, intensity 15
- 74.09 deg, intensity 15


Diffraction record for MgSb. The powder diffraction line list is simulated, not measured: it uses a DFT-relaxed cell (PBE, the Materials Project) and Cu Kα (weighted mean of Kα1 and Kα2).
Neutral-atom scattering factors, no anomalous dispersion.

Structural model:
a = 5.6199 Å, b = 3.1310 Å, c = 5.6250 Å
α = 90.00°, β = 90.00°, γ = 90.00°
Sites, in units of the cell vectors:
Mg 0.2500 0.0000 0.2409
Mg 0.7500 0.0000 0.7591
Sb 0.2500 0.5000 0.7442
Sb 0.7500 0.5000 0.2558

Peak list (10 most intense, 15° ≤ 2θ ≤ 90°, in order of rising 2θ)
- 22.36 deg, intensity 74
- 28.51 deg, intensity 20
- 31.83 deg, intensity 73
- 36.53 deg, intensity 100
- 43.25 deg, intensity 26
- 45.64 deg, intensity 26
- 51.39 deg, intensity 16
- 54.69 deg, intensity 13
- 59.82 deg, intensity 46
- 68.62 deg, intensity 15


Diffraction record for MgSb. The powder diffraction line list is simulated, not measured: it uses a DFT-relaxed cell (PBE, the Materials Project) and Cu Kα (weighted mean of Kα1 and Kα2).
Neutral-atom scattering factors, no anomalous dispersion.

Structural model:
a = 12.4174 Å, b = 3.2861 Å, c = 7.5981 Å
α = 90.00°, β = 104.00°, γ = 90.00°
Sites, in units of the cell vectors:
Mg 0.0000 0.0000 0.0000
Mg 0.0525 0.0000 0.6073
Mg 0.3324 0.0000 0.6595
Mg 0.5000 0.5000 0.0000
Mg 0.5525 0.5000 0.6073
Mg 0.8324 0.5000 0.6595
Sb 0.1664 0.5000 0.3391
Sb 0.2045 0.5000 0.8955
Sb 0.4076 0.0000 0.2925
Sb 0.6664 0.0000 0.3391
Sb 0.7045 0.0000 0.8955
Sb 0.9076 0.5000 0.2925

Peak list (10 most intense, 15° ≤ 2θ ≤ 90°, in order of rising 2θ)
- 24.14 deg, intensity 62
- 28.15 deg, intensity 50
- 29.66 deg, intensity 38
- 31.40 deg, intensity 66
- 33.56 deg, intensity 74
- 34.79 deg, intensity 38
- 35.29 deg, intensity 93
- 36.18 deg, intensity 100
- 36.56 deg, intensity 29
- 62.30 deg, intensity 24


Diffraction record for MgSb. The powder diffraction line list is simulated, not measured: it uses a DFT-relaxed cell (PBE, the Materials Project) and Cu Kα (weighted mean of Kα1 and Kα2).
Neutral-atom scattering factors, no anomalous dispersion.

Structural model:
a = 5.4538 Å, b = 3.2473 Å, c = 17.2241 Å
α = 90.00°, β = 90.00°, γ = 90.00°
Sites, in units of the cell vectors:
Mg 0.0000 0.0000 0.0000
Mg 0.0000 0.0000 0.3319
Mg 0.0000 0.5000 0.5000
Mg 0.0000 0.5000 0.8319
Mg 0.5000 0.0000 0.8901
Mg 0.5000 0.5000 0.3901
Sb 0.0000 0.0000 0.6587
Sb 0.0000 0.5000 0.1587
Sb 0.5000 0.0000 0.2452
Sb 0.5000 0.0000 0.5357
Sb 0.5000 0.5000 0.0357
Sb 0.5000 0.5000 0.7452

Peak list (10 most intense, 15° ≤ 2θ ≤ 90°, in order of rising 2θ)
- 26.37 deg, intensity 68
- 27.96 deg, intensity 17
- 31.66 deg, intensity 33
- 32.51 deg, intensity 28
- 32.84 deg, intensity 50
- 35.33 deg, intensity 48
- 35.78 deg, intensity 100
- 46.27 deg, intensity 39
- 57.92 deg, intensity 16
- 60.56 deg, intensity 21


Diffraction record for MgSb. The powder diffraction line list is simulated, not measured: it uses a DFT-relaxed cell (PBE, the Materials Project) and Cu Kα (weighted mean of Kα1 and Kα2).
Neutral-atom scattering factors, no anomalous dispersion.

Structural model:
a = 11.4900 Å, b = 3.2017 Å, c = 5.4466 Å
α = 90.00°, β = 96.28°, γ = 90.00°
Sites, in units of the cell vectors:
Mg 0.1219 0.0000 0.2892
Mg 0.3781 0.5000 0.7108
Mg 0.6219 0.5000 0.2892
Mg 0.8781 0.0000 0.7108
Sb 0.1220 0.5000 0.7811
Sb 0.3780 0.0000 0.2189
Sb 0.6220 0.0000 0.7811
Sb 0.8780 0.5000 0.2189

Peak list (10 most intense, 15° ≤ 2θ ≤ 90°, in order of rising 2θ)
- 21.34 deg, intensity 85
- 23.85 deg, intensity 67
- 28.96 deg, intensity 44
- 31.33 deg, intensity 82
- 33.06 deg, intensity 100
- 33.88 deg, intensity 92
- 39.28 deg, intensity 66
- 41.51 deg, intensity 27
- 43.48 deg, intensity 26
- 57.58 deg, intensity 25


Diffraction record for MgSb. The powder diffraction line list is simulated, not measured: it uses a DFT-relaxed cell (PBE, the Materials Project) and Cu Kα (weighted mean of Kα1 and Kα2).
Neutral-atom scattering factors, no anomalous dispersion.

Structural model:
a = 11.4597 Å, b = 3.2729 Å, c = 8.3088 Å
α = 90.00°, β = 104.58°, γ = 90.00°
Sites, in units of the cell vectors:
Mg 0.0000 0.0000 0.0000
Mg 0.1185 0.0000 0.6430
Mg 0.2793 0.5000 0.3460
Mg 0.5000 0.5000 0.0000
Mg 0.6185 0.5000 0.6430
Mg 0.7793 0.0000 0.3460
Sb 0.0125 0.5000 0.3225
Sb 0.2227 0.5000 0.9683
Sb 0.3838 0.0000 0.6713
Sb 0.5125 0.0000 0.3225
Sb 0.7227 0.0000 0.9683
Sb 0.8838 0.5000 0.6713

Peak list (10 most intense, 15° ≤ 2θ ≤ 90°, in order of rising 2θ)
- 21.64 deg, intensity 72
- 23.84 deg, intensity 53
- 28.43 deg, intensity 34
- 31.34 deg, intensity 100
- 33.43 deg, intensity 55
- 34.99 deg, intensity 63
- 36.50 deg, intensity 24
- 36.67 deg, intensity 23
- 40.22 deg, intensity 30
- 44.10 deg, intensity 20


Diffraction record for Mg7Sb. The powder diffraction line list is simulated, not measured: it uses a DFT-relaxed cell (PBE, the Materials Project) and Cu Kα (weighted mean of Kα1 and Kα2).
Neutral-atom scattering factors, no anomalous dispersion.

Structural model:
a = 6.3283 Å, b = 6.3283 Å, c = 5.3198 Å
α = 90.00°, β = 90.00°, γ = 120.00°
Sites, in units of the cell vectors:
Mg 0.0000 0.0000 0.0000
Mg 0.3324 0.1662 0.5000
Mg 0.5007 0.0014 0.0000
Mg 0.5007 0.4993 0.0000
Mg 0.8338 0.1662 0.5000
Mg 0.8338 0.6676 0.5000
Mg 0.9986 0.4993 0.0000
Sb 0.3333 0.6667 0.5000

Peak list (10 most intense, 15° ≤ 2θ ≤ 90°, in order of rising 2θ)
- 16.17 deg, intensity 49
- 23.30 deg, intensity 43
- 32.68 deg, intensity 29
- 32.94 deg, intensity 18
- 33.70 deg, intensity 28
- 36.90 deg, intensity 100
- 47.65 deg, intensity 20
- 58.32 deg, intensity 16
- 62.37 deg, intensity 20
- 69.08 deg, intensity 19


Diffraction record for MgSb. The powder diffraction line list is simulated, not measured: it uses a DFT-relaxed cell (PBE, the Materials Project) and Cu Kα (weighted mean of Kα1 and Kα2).
Neutral-atom scattering factors, no anomalous dispersion.

Structural model:
a = 3.8391 Å, b = 3.8391 Å, c = 12.0549 Å
α = 90.00°, β = 90.00°, γ = 120.00°
Sites, in units of the cell vectors:
Mg 0.0000 0.0000 0.0000
Mg 0.3333 0.6667 0.6667
Mg 0.6667 0.3333 0.3333
Sb 0.0000 0.0000 0.5000
Sb 0.3333 0.6667 0.1667
Sb 0.6667 0.3333 0.8333

Peak list (10 most intense, 15° ≤ 2θ ≤ 90°, in order of rising 2θ)
- 22.12 deg, intensity 32
- 27.84 deg, intensity 54
- 30.71 deg, intensity 100
- 40.39 deg, intensity 47
- 46.53 deg, intensity 13
- 47.36 deg, intensity 29
- 52.86 deg, intensity 18
- 57.51 deg, intensity 16
- 67.48 deg, intensity 20
- 77.61 deg, intensity 13


Diffraction record for Mg15Sb. The powder diffraction line list is simulated, not measured: it uses a DFT-relaxed cell (PBE, the Materials Project) and Cu Kα (weighted mean of Kα1 and Kα2).
Neutral-atom scattering factors, no anomalous dispersion.

Structural model:
a = 6.3682 Å, b = 6.3682 Å, c = 10.4799 Å
α = 90.00°, β = 90.00°, γ = 120.00°
Sites, in units of the cell vectors:
Mg 0.0000 0.0000 0.0000
Mg 0.0005 0.5002 0.0000
Mg 0.1671 0.3342 0.2498
Mg 0.1671 0.3342 0.7502
Mg 0.1671 0.8329 0.2498
Mg 0.1671 0.8329 0.7502
Mg 0.4998 0.9995 0.0000
Mg 0.5004 0.0008 0.5000
Mg 0.4998 0.5002 0.0000
Mg 0.5004 0.4996 0.5000
Mg 0.6658 0.8329 0.2498
Mg 0.6658 0.8329 0.7502
Mg 0.6667 0.3333 0.2499
Mg 0.6667 0.3333 0.7501
Mg 0.9992 0.4996 0.5000
Sb 0.0000 0.0000 0.5000

Peak list (10 most intense, 15° ≤ 2θ ≤ 90°, in order of rising 2θ)
- 16.07 deg, intensity 18
- 18.18 deg, intensity 27
- 23.42 deg, intensity 15
- 32.47 deg, intensity 26
- 34.22 deg, intensity 27
- 36.83 deg, intensity 100
- 47.89 deg, intensity 17
- 57.92 deg, intensity 17
- 63.00 deg, intensity 20
- 69.03 deg, intensity 19


Diffraction record for MgSb. The powder diffraction line list is simulated, not measured: it uses a DFT-relaxed cell (PBE, the Materials Project) and Cu Kα (weighted mean of Kα1 and Kα2).
Neutral-atom scattering factors, no anomalous dispersion.

Structural model:
a = 3.6553 Å, b = 3.6553 Å, c = 3.6553 Å
α = 90.00°, β = 90.00°, γ = 90.00°
Sites, in units of the cell vectors:
Mg 0.0000 0.0000 0.0000
Sb 0.5000 0.5000 0.5000

Peak list (10 most intense, 15° ≤ 2θ ≤ 90°, in order of rising 2θ)
- 24.35 deg, intensity 52
- 34.71 deg, intensity 100
- 42.85 deg, intensity 16
- 49.90 deg, intensity 18
- 56.28 deg, intensity 21
- 62.21 deg, intensity 35
- 73.24 deg, intensity 11
- 78.50 deg, intensity 10
- 83.66 deg, intensity 15
- 88.77 deg, intensity 6